Entry 1:
Structure and computed X-ray diffraction stick pattern of CsK2AuF6 (a PBE-relaxed structure; a wavelength of 1.5418 Å).

Atomic structure:
abc: 9.754 9.754 9.754
angles: 90.00 90.00 90.00
Space group Fm-3m (No. 225)
Inequivalent atoms, fractional coordinates:
Cs: 0.000 0.000 0.000 [4 per cell]
K: 0.250 0.250 0.250 [8 per cell]
Au: 0.000 0.000 0.500 [4 per cell]
F: 0.000 0.000 0.280 [24 per cell]

Most intense lines, 2θ from 15° to 90°, in order of falling intensity:
two_theta	d_spacing	I (rel.)	hkl
25.8	3.449	100.0	2 2 0
18.2	4.877	66.5	2 0 0
45.6	1.991	40.8	4 2 2
36.9	2.439	37.2	4 0 0
41.4	2.181	31.7	4 2 0
53.1	1.724	23.4	4 4 0
72.5	1.303	22.8	6 4 2
60.0	1.542	20.8	6 2 0
56.6	1.626	15.8	6 0 0
15.7	5.632	11.5	1 1 1
84.2	1.150	11.0	6 6 0
90.0	1.091	9.4	8 4 0

***

Entry 2:
Structure and computed X-ray diffraction stick pattern of CsK4Au3F12 (a PBE-relaxed structure; a wavelength of 1.5418 Å).

Atomic structure:
abc: 9.353 9.353 9.353
angles: 90.00 90.00 90.00
Space group Im-3 (No. 204)
Inequivalent atoms, fractional coordinates:
Cs: 0.000 0.000 0.000 [2 per cell]
K: 0.250 0.250 0.250 [8 per cell]
Au: 0.000 0.000 0.500 [6 per cell]
F: 0.000 0.334 0.148 [24 per cell]

Most intense lines, 2θ from 15° to 90°, in order of falling intensity:
two_theta	d_spacing	I (rel.)	hkl
27.0	3.307	100.0	2 2 0
47.6	1.909	52.8	4 2 2
19.0	4.676	52.7	2 0 0
76.2	1.250	21.5	6 2 4
43.3	2.091	21.1	4 0 2
62.8	1.479	20.9	6 0 2
38.5	2.338	20.5	4 0 0
33.2	2.700	19.6	2 2 2
59.3	1.559	18.0	6 0 0
88.8	1.102	13.9	6 6 0
55.6	1.653	12.8	4 4 0
85.6	1.134	7.5	8 2 0